The following is a simulated XRD peak list of Mg2CuPd7. It was derived from DFT lattice parameters and positions (PBE), using Cu Kα.
Intensities are scaled so that the largest is 100.

Structure:
a = 8.3175 Å, b = 15.4265 Å, c = 2.7704 Å
α = 90.00°, β = 90.00°, γ = 90.00°
Space group Cmmm (No. 65)
Asymmetric unit:
Mg1 0.0000 0.1739 0.0000 x4
Cu1 0.0000 0.5000 0.5000 x2
Pd1 0.0000 0.0000 0.0000 x2
Pd2 0.0000 0.3173 0.5000 x4
Pd3 0.2219 0.4100 0.0000 x8

Top 10 peaks for 2θ = 15–90°, most intense first:
2θ/deg	Rel. int.	index
41.3	100	2 6 0
45.3	53	1 5 1
39.1	52	2 0 1
31.6	51	2 4 0
46.7	49	3 1 1
20.3	42	1 3 0
43.5	40	4 0 0
73.1	30	5 5 1
34.4	30	0 2 1
34.6	26	1 1 1

=====

The following is a simulated XRD peak list of Mg2Cu3Pd7. It was derived from DFT lattice parameters and positions (PBE), using Cu Kα.
Intensities are scaled so that the largest is 100.

Structure:
a = 4.2436 Å, b = 22.9792 Å, c = 4.0417 Å
α = 90.00°, β = 90.00°, γ = 90.00°
Space group Cmmm (No. 65)
Asymmetric unit:
Mg1 0.0000 0.1527 0.0000 x4
Cu1 0.0000 0.3511 0.5000 x4
Cu2 0.0000 0.5000 0.5000 x2
Pd1 0.0000 0.0000 0.0000 x2
Pd2 0.0000 0.0773 0.5000 x4
Pd3 0.0000 0.2838 0.0000 x4
Pd4 0.0000 0.4212 0.0000 x4

Top 10 peaks for 2θ = 15–90°, most intense first:
2θ/deg	Rel. int.	index
41.3	100	1 7 1
42.6	24	2 0 0
44.9	21	0 0 2
77.1	17	3 7 1
36.4	15	1 5 1
24.0	14	1 3 0
63.6	14	2 0 2
80.3	13	1 7 3
27.0	10	0 4 1
89.8	9	2 14 2

=====

Please write out number 1 again, unchanged.
The following is a simulated XRD peak list of Mg2CuPd7. It was derived from DFT lattice parameters and positions (PBE), using Cu Kα.
Intensities are scaled so that the largest is 100.

Structure:
a = 8.3175 Å, b = 15.4265 Å, c = 2.7704 Å
α = 90.00°, β = 90.00°, γ = 90.00°
Space group Cmmm (No. 65)
Asymmetric unit:
Mg1 0.0000 0.1739 0.0000 x4
Cu1 0.0000 0.5000 0.5000 x2
Pd1 0.0000 0.0000 0.0000 x2
Pd2 0.0000 0.3173 0.5000 x4
Pd3 0.2219 0.4100 0.0000 x8

Top 10 peaks for 2θ = 15–90°, most intense first:
2θ/deg	Rel. int.	index
41.3	100	2 6 0
45.3	53	1 5 1
39.1	52	2 0 1
31.6	51	2 4 0
46.7	49	3 1 1
20.3	42	1 3 0
43.5	40	4 0 0
73.1	30	5 5 1
34.4	30	0 2 1
34.6	26	1 1 1

=====

> What is the formula in the second record?

Mg2Cu3Pd7